Structure and computed X-ray diffraction stick pattern of SmAuN (a structure optimized by DFT (PBE); Cu Ka).

Structure:
```
data_SmAuN
_chemical_formula_sum 'Sm4 Au4 N4'
_cell_length_a 3.5615
_cell_length_b 3.5615
_cell_length_c 18.2876
_cell_angle_alpha 90.00
_cell_angle_beta 90.00
_cell_angle_gamma 90.00
_space_group_name_H-M_alt 'I 4/m m m'
_space_group_IT_number 139
_space_group_name_Hall '-I 4 2'
loop_
_atom_site_label
_atom_site_fract_x
_atom_site_fract_y
_atom_site_fract_z
Sm1 0.0000 0.0000 0.1808
Au1 0.0000 0.0000 0.4299
N1 0.0000 0.0000 0.3079
```

Principal peaks in the range 2θ from 10° to 80°, in order of rising 2θ:
(1 0 1), 25.5°, I = 53
(1 0 3), 29.0°, I = 85
(1 0 5), 35.2°, I = 82
(1 1 0), 35.7°, I = 100
(0 0 8), 39.4°, I = 33
(1 0 7), 42.9°, I = 34
(2 0 0), 51.3°, I = 35
(1 1 8), 54.2°, I = 53
(2 1 5), 63.7°, I = 30
(2 0 8), 66.6°, I = 28


Structure and computed X-ray diffraction stick pattern of Gd2SiO5 (a structure optimized by DFT (PBE); Cu Ka).

Structure:
```
data_Gd2SiO5
_chemical_formula_sum 'Gd8 Si4 O20'
_cell_length_a 9.1989
_cell_length_b 7.1572
_cell_length_c 6.7770
_cell_angle_alpha 90.00
_cell_angle_beta 107.51
_cell_angle_gamma 90.00
_space_group_name_H-M_alt 'P 1 21/c 1'
_space_group_IT_number 14
_space_group_name_Hall '-P 2ybc'
loop_
_atom_site_label
_atom_site_fract_x
_atom_site_fract_y
_atom_site_fract_z
Gd1 0.0240 0.1255 0.2329
Gd2 0.3857 0.1490 0.0831
Si1 0.2983 0.5847 0.0384
O1 0.1148 0.1206 0.9465
O2 0.1156 0.6366 0.9924
O3 0.2928 0.0725 0.3550
O4 0.3683 0.0431 0.7467
O5 0.4062 0.7362 0.5469
```

Principal peaks in the range 2θ from 10° to 80°, in order of rising 2θ:
(1 1 0), 16.0°, I = 53
(2 0 0), 20.2°, I = 42
(0 2 1), 28.5°, I = 100
(2 0 -2), 29.0°, I = 75
(3 0 0), 30.6°, I = 58
(1 2 1), 31.7°, I = 68
(1 0 2), 32.3°, I = 56
(2 2 -1), 32.6°, I = 77
(3 2 1), 45.4°, I = 53
(1 2 -3), 47.7°, I = 46


Structure and computed X-ray diffraction stick pattern of La2Y2Au3 (a structure optimized by DFT (PBE); Cu Ka).

Structure:
```
data_La2Y2Au3
_chemical_formula_sum 'La8 Y8 Au12'
_cell_length_a 9.1496
_cell_length_b 9.1496
_cell_length_c 9.1496
_cell_angle_alpha 90.00
_cell_angle_beta 90.00
_cell_angle_gamma 90.00
_space_group_name_H-M_alt 'I 21 3'
_space_group_IT_number 199
_space_group_name_Hall 'I 2b 2c 3'
loop_
_atom_site_label
_atom_site_fract_x
_atom_site_fract_y
_atom_site_fract_z
La1 0.0726 0.0726 0.0726
Y1 0.1821 0.3179 0.6821
Au1 0.0000 0.2500 0.3927
```

Principal peaks in the range 2θ from 10° to 80°, in order of rising 2θ:
(2 1 1), 23.8°, I = 22
(3 1 0), 30.9°, I = 100
(3 2 1), 36.8°, I = 62
(4 0 2), 44.3°, I = 21
(3 3 2), 46.6°, I = 15
(4 1 3), 50.9°, I = 23
(5 2 3), 62.6°, I = 30
(6 2 0), 64.4°, I = 11
(5 1 4), 66.2°, I = 13
(7 1 2), 76.5°, I = 19


Structure and computed X-ray diffraction stick pattern of La2Sm15Tm2 (a structure optimized by DFT (PBE); Cu Ka).

Structure:
```
data_La2Sm15Tm2
_chemical_formula_sum 'La6 Sm45 Tm6'
_cell_length_a 11.4223
_cell_length_b 11.4223
_cell_length_c 17.7995
_cell_angle_alpha 90.00
_cell_angle_beta 90.00
_cell_angle_gamma 120.00
_space_group_name_H-M_alt 'R -3 m'
_space_group_IT_number 166
_space_group_name_Hall '-R 3 2"'
loop_
_atom_site_label
_atom_site_fract_x
_atom_site_fract_y
_atom_site_fract_z
La1 0.0000 0.0000 0.1756
Sm1 0.0000 0.2938 0.5000
Sm2 0.0000 0.5000 0.0000
Sm3 0.0126 0.5063 0.6379
Tm1 0.0000 0.0000 0.4052
```

Principal peaks in the range 2θ from 10° to 80°, in order of rising 2θ:
(0 2 4), 27.0°, I = 40
(0 0 6), 30.1°, I = 18
(2 0 5), 31.0°, I = 100
(2 2 0), 31.3°, I = 44
(1 1 6), 34.1°, I = 15
(2 2 3), 34.9°, I = 49
(2 3 5), 47.5°, I = 12
(0 3 9), 54.1°, I = 12
(0 4 8), 55.5°, I = 20
(6 0 0), 55.8°, I = 19


Structure and computed X-ray diffraction stick pattern of SbRhAu (a structure optimized by DFT (PBE); Cu Ka).

Structure:
```
data_SbRhAu
_chemical_formula_sum 'Sb2 Rh2 Au2'
_cell_length_a 5.3328
_cell_length_b 4.2034
_cell_length_c 5.6400
_cell_angle_alpha 90.00
_cell_angle_beta 108.69
_cell_angle_gamma 90.00
_space_group_name_H-M_alt 'P 1 21/m 1'
_space_group_IT_number 11
_space_group_name_Hall '-P 2yb'
loop_
_atom_site_label
_atom_site_fract_x
_atom_site_fract_y
_atom_site_fract_z
Sb1 0.1119 0.2500 0.3228
Rh1 0.3444 0.7500 0.5789
Au1 0.3602 0.7500 0.0854
```

Principal peaks in the range 2θ from 10° to 80°, in order of rising 2θ:
(1 0 0), 17.6°, I = 22
(1 1 0), 27.6°, I = 46
(1 0 1), 27.9°, I = 35
(1 1 -1), 29.2°, I = 66
(1 1 -2), 39.1°, I = 46
(0 1 2), 40.0°, I = 85
(2 0 -2), 40.5°, I = 51
(2 1 0), 41.7°, I = 100
(0 2 0), 43.1°, I = 72
(2 2 -2), 60.6°, I = 31


Structure and computed X-ray diffraction stick pattern of ZnRh2C (a structure optimized by DFT (PBE); Cu Ka).

Structure:
```
data_ZnRh2C
_chemical_formula_sum 'Zn4 Rh8 C4'
_cell_length_a 6.2985
_cell_length_b 6.2985
_cell_length_c 5.4076
_cell_angle_alpha 90.00
_cell_angle_beta 90.00
_cell_angle_gamma 90.00
_space_group_name_H-M_alt 'I -4 2 d'
_space_group_IT_number 122
_space_group_name_Hall 'I -4 2bw'
loop_
_atom_site_label
_atom_site_fract_x
_atom_site_fract_y
_atom_site_fract_z
Zn1 0.0000 0.0000 0.0000
Rh1 0.1475 0.2500 0.6250
C1 0.0000 0.0000 0.5000
```

Principal peaks in the range 2θ from 10° to 80°, in order of rising 2θ:
(2 1 1), 35.9°, I = 100
(1 1 2), 39.0°, I = 65
(2 2 0), 40.5°, I = 16
(3 1 0), 45.5°, I = 17
(3 0 1), 46.4°, I = 23
(3 2 1), 55.3°, I = 17
(4 0 2), 69.0°, I = 13
(3 2 3), 75.8°, I = 15
(2 0 4), 76.7°, I = 11
(4 3 1), 77.9°, I = 12


Structure and computed X-ray diffraction stick pattern of Rb4BiF (a structure optimized by DFT (PBE); Cu Ka).

Structure:
```
data_Rb4BiF
_chemical_formula_sum 'Rb16 Bi4 F4'
_cell_length_a 6.1747
_cell_length_b 19.9627
_cell_length_c 8.0450
_cell_angle_alpha 90.00
_cell_angle_beta 90.00
_cell_angle_gamma 90.00
_space_group_name_H-M_alt 'C m c m'
_space_group_IT_number 63
_space_group_name_Hall '-C 2c 2'
loop_
_atom_site_label
_atom_site_fract_x
_atom_site_fract_y
_atom_site_fract_z
Rb1 0.0000 0.0000 0.0000
Rb2 0.0000 0.1888 0.9999
Rb3 0.0000 0.4242 0.2500
Bi1 0.0000 0.3741 0.7500
F1 0.0000 0.0943 0.7500
```

Principal peaks in the range 2θ from 10° to 80°, in order of rising 2θ:
(0 2 1), 14.1°, I = 21
(1 1 1), 18.7°, I = 25
(1 5 0), 26.6°, I = 74
(1 1 2), 26.8°, I = 100
(0 4 2), 28.5°, I = 38
(2 0 0), 28.9°, I = 79
(1 3 2), 29.7°, I = 24
(2 4 2), 41.1°, I = 29
(3 1 2), 50.0°, I = 18
(1 5 4), 53.1°, I = 22


Structure and computed X-ray diffraction stick pattern of KSr2PaS5 (a structure optimized by DFT (PBE); Cu Ka).

Structure:
```
data_KSr2PaS5
_chemical_formula_sum 'K2 Sr4 Pa2 S10'
_cell_length_a 5.1718
_cell_length_b 7.4692
_cell_length_c 14.2733
_cell_angle_alpha 90.00
_cell_angle_beta 90.00
_cell_angle_gamma 90.00
_space_group_name_H-M_alt 'I m m m'
_space_group_IT_number 71
_space_group_name_Hall '-I 2 2'
loop_
_atom_site_label
_atom_site_fract_x
_atom_site_fract_y
_atom_site_fract_z
K1 0.0000 0.0000 0.0000
Sr1 0.0000 0.5000 0.2114
Pa1 0.0000 0.0000 0.5000
S1 0.0000 0.2351 0.3628
S2 0.0000 0.5000 0.0000
```

Principal peaks in the range 2θ from 10° to 80°, in order of rising 2θ:
(0 1 1), 13.4°, I = 95
(1 0 1), 18.2°, I = 25
(0 2 0), 23.8°, I = 21
(1 1 2), 24.4°, I = 100
(0 1 5), 33.6°, I = 21
(2 0 0), 34.7°, I = 62
(1 2 3), 35.1°, I = 38
(2 1 1), 37.3°, I = 16
(1 3 2), 42.2°, I = 25
(2 2 4), 49.9°, I = 25